Computed X-ray diffraction stick pattern of ZnIBr for Cu Kα (weighted mean of Kα1 and Kα2), from a DFT-relaxed cell (GGA-PBE, OQMD).
Peak positions follow from Bragg's law for the DFT cell and can differ from measured ones.

Largest 10 diffraction maxima, most intense first, 10 to 80 degrees two-theta:
d/Å	I (rel.)
3.429	100
2.131	46
1.754	28
3.886	21
2.042	21
1.872	15
6.318	14
2.887	14
1.380	11
2.932	8

a = 4.0833 Å, b = 4.0833 Å, c = 12.6366 Å
α = 90.00°, β = 90.00°, γ = 90.00°
Atoms (fractional coordinates):
Zn 0.0000 0.0000 0.0000
Zn 0.5000 0.5000 0.5000
I 0.0000 0.5000 0.1322
I 0.5000 0.0000 0.8678
Br 0.0000 0.5000 0.6114
Br 0.5000 0.0000 0.3886

***

Computed X-ray diffraction stick pattern of Ho2TlNiAg for Cu Kα (weighted mean of Kα1 and Kα2), from a DFT-relaxed cell (GGA-PBE, OQMD).
Peak positions follow from Bragg's law for the DFT cell and can differ from measured ones.

Largest 10 diffraction maxima, most intense first, 10 to 80 degrees two-theta:
d/Å	I (rel.)
2.705	100
2.592	63
2.398	61
3.170	33
1.623	31
2.082	26
1.833	22
1.456	21
1.376	17
1.586	15

a = 3.6661 Å, b = 7.6210 Å, c = 7.6210 Å
α = 31.71°, β = 90.00°, γ = 90.00°
Atoms (fractional coordinates):
Ho 0.0000 0.0000 0.0000
Ho 0.0000 0.2650 0.2650
Tl 0.5000 0.6379 0.6379
Ni 0.5000 0.8266 0.8266
Ag 0.5000 0.4327 0.4327

***

Computed X-ray diffraction stick pattern of Hf2Mg2Pd3 for Cu Kα (weighted mean of Kα1 and Kα2), from a DFT-relaxed cell (GGA-PBE, OQMD).
Peak positions follow from Bragg's law for the DFT cell and can differ from measured ones.

Largest 10 diffraction maxima, most intense first, 10 to 80 degrees two-theta:
d/Å	I (rel.)
2.274	100
2.244	95
3.705	70
1.307	33
1.597	32
1.929	23
3.642	22
1.313	17
1.290	15
1.938	12

a = 7.7423 Å, b = 7.7423 Å, c = 7.7423 Å
α = 34.16°, β = 34.16°, γ = 34.16°
Atoms (fractional coordinates):
Hf 0.0000 0.0000 0.0000
Hf 0.4935 0.4935 0.4935
Mg 0.2419 0.2419 0.2419
Mg 0.7488 0.7488 0.7488
Pd 0.3694 0.3694 0.3694
Pd 0.6206 0.6206 0.6206
Pd 0.8732 0.8732 0.8732

***

Computed X-ray diffraction stick pattern of PrAl3B4O12 for Cu Kα (weighted mean of Kα1 and Kα2), from a DFT-relaxed cell (GGA-PBE, OQMD).
Peak positions follow from Bragg's law for the DFT cell and can differ from measured ones.

Largest 10 diffraction maxima, most intense first, 10 to 80 degrees two-theta:
d/Å	I (rel.)
3.540	100
2.713	100
5.648	88
4.311	74
2.703	72
5.407	52
2.860	49
2.344	46
2.630	35
2.294	33

a = 5.9317 Å, b = 5.9317 Å, c = 11.0998 Å
α = 97.99°, β = 97.99°, γ = 104.49°
Atoms (fractional coordinates):
Pr 0.0378 0.9622 0.7500
Pr 0.9622 0.0378 0.2500
Al 0.1947 0.6931 0.4713
Al 0.3069 0.8053 0.0287
Al 0.4102 0.5898 0.2500
Al 0.5898 0.4102 0.7500
Al 0.6931 0.1947 0.9713
Al 0.8053 0.3069 0.5287
B 0.1231 0.4917 0.7781
B 0.2227 0.2811 0.0057
B 0.2811 0.2227 0.5057
B 0.4917 0.1231 0.2781
B 0.5083 0.8769 0.7219
B 0.7189 0.7773 0.4943
B 0.7773 0.7189 0.9943
B 0.8769 0.5083 0.2219
O 0.0039 0.8048 0.0609
O 0.1023 0.5774 0.2945
O 0.1297 0.3679 0.4957
O 0.1838 0.6949 0.8634
O 0.1952 0.9961 0.4391
O 0.2718 0.3546 0.7572
O 0.3035 0.5076 0.0744
O 0.3051 0.8162 0.6366
O 0.3546 0.2718 0.2572
O 0.3679 0.1297 0.9957
O 0.4226 0.8977 0.2055
O 0.4924 0.6965 0.4256
O 0.5076 0.3035 0.5744
O 0.5774 0.1023 0.7945
O 0.6321 0.8703 0.0043
O 0.6454 0.7282 0.7428
O 0.6949 0.1838 0.3634
O 0.6965 0.4924 0.9256
O 0.7282 0.6454 0.2428
O 0.8048 0.0039 0.5609
O 0.8162 0.3051 0.1366
O 0.8703 0.6321 0.5043
O 0.8977 0.4226 0.7055
O 0.9961 0.1952 0.9391

***

Computed X-ray diffraction stick pattern of TbReB4 for Cu Kα (weighted mean of Kα1 and Kα2), from a DFT-relaxed cell (GGA-PBE, OQMD).
Peak positions follow from Bragg's law for the DFT cell and can differ from measured ones.

Largest 10 diffraction maxima, most intense first, 10 to 80 degrees two-theta:
d/Å	I (rel.)
2.259	100
3.617	98
2.892	84
1.978	46
2.113	34
2.362	34
2.602	26
1.534	26
1.809	21
1.494	17

a = 5.9765 Å, b = 11.5634 Å, c = 3.6174 Å
α = 90.00°, β = 90.00°, γ = 90.00°
Atoms (fractional coordinates):
Tb 0.1262 0.1505 0.0000
Tb 0.3738 0.6505 0.0000
Tb 0.6262 0.3495 0.0000
Tb 0.8738 0.8495 0.0000
Re 0.1325 0.4131 0.0000
Re 0.3675 0.9131 0.0000
Re 0.6325 0.0869 0.0000
Re 0.8675 0.5869 0.0000
B 0.0231 0.6919 0.5000
B 0.1138 0.5472 0.5000
B 0.1366 0.9684 0.5000
B 0.2129 0.8153 0.5000
B 0.2871 0.3153 0.5000
B 0.3634 0.4684 0.5000
B 0.3862 0.0472 0.5000
B 0.4769 0.1919 0.5000
B 0.5231 0.8081 0.5000
B 0.6138 0.9528 0.5000
B 0.6366 0.5316 0.5000
B 0.7129 0.6847 0.5000
B 0.7871 0.1847 0.5000
B 0.8634 0.0316 0.5000
B 0.8862 0.4528 0.5000
B 0.9769 0.3081 0.5000

***

Computed X-ray diffraction stick pattern of Ba3PaO6 for Cu Kα (weighted mean of Kα1 and Kα2), from a DFT-relaxed cell (GGA-PBE, OQMD).
Peak positions follow from Bragg's law for the DFT cell and can differ from measured ones.

Largest 10 diffraction maxima, most intense first, 10 to 80 degrees two-theta:
d/Å	I (rel.)
3.060	100
3.368	73
3.736	69
3.315	43
2.017	39
2.349	35
3.080	35
1.994	31
3.001	30
1.967	29

a = 7.4738 Å, b = 7.4738 Å, c = 7.4738 Å
α = 91.10°, β = 91.10°, γ = 91.10°
Atoms (fractional coordinates):
Ba 0.0516 0.5537 0.7512
Ba 0.2488 0.9484 0.4463
Ba 0.4463 0.2488 0.9484
Ba 0.5537 0.7512 0.0516
Ba 0.7512 0.0516 0.5537
Ba 0.9484 0.4463 0.2488
Pa 0.0000 0.0000 0.0000
Pa 0.5000 0.5000 0.5000
O 0.0385 0.9164 0.7211
O 0.0836 0.2789 0.9615
O 0.2218 0.5714 0.4394
O 0.2789 0.9615 0.0836
O 0.4286 0.5606 0.7782
O 0.4394 0.2218 0.5714
O 0.5606 0.7782 0.4286
O 0.5714 0.4394 0.2218
O 0.7211 0.0385 0.9164
O 0.7782 0.4286 0.5606
O 0.9164 0.7211 0.0385
O 0.9615 0.0836 0.2789

***

Computed X-ray diffraction stick pattern of Tl2InAgCl6 for Cu Kα (weighted mean of Kα1 and Kα2), from a DFT-relaxed cell (GGA-PBE, OQMD).
Peak positions follow from Bragg's law for the DFT cell and can differ from measured ones.

Largest 10 diffraction maxima, most intense first, 10 to 80 degrees two-theta:
d/Å	I (rel.)
3.625	100
3.679	69
2.612	58
3.768	31
2.136	30
1.812	26
2.554	24
2.093	24
2.088	20
2.169	19

a = 7.2542 Å, b = 7.2542 Å, c = 7.5377 Å
α = 120.31°, β = 120.31°, γ = 59.93°
Atoms (fractional coordinates):
Tl 0.2488 0.2488 0.2357
Tl 0.7512 0.7512 0.7643
In 0.5000 0.5000 0.0000
Ag 0.0000 0.0000 0.5000
Cl 0.2077 0.6987 0.1893
Cl 0.2581 0.2581 0.6769
Cl 0.3013 0.7923 0.8107
Cl 0.6987 0.2077 0.1893
Cl 0.7419 0.7419 0.3231
Cl 0.7923 0.3013 0.8107

***

Computed X-ray diffraction stick pattern of Li5Cu6 for Cu Kα (weighted mean of Kα1 and Kα2), from a DFT-relaxed cell (GGA-PBE, OQMD).
Peak positions follow from Bragg's law for the DFT cell and can differ from measured ones.

Largest 10 diffraction maxima, most intense first, 10 to 80 degrees two-theta:
d/Å	I (rel.)
2.130	100
3.966	86
3.826	67
2.111	49
2.117	49
1.747	35
1.900	35
1.876	33
2.902	25
5.425	18

a = 4.4154 Å, b = 5.9454 Å, c = 5.9584 Å
α = 108.10°, β = 100.27°, γ = 105.76°
Atoms (fractional coordinates):
Li 0.0000 0.0000 0.0000
Li 0.2670 0.0783 0.4593
Li 0.3723 0.4671 0.2608
Li 0.6277 0.5329 0.7392
Li 0.7330 0.9217 0.5407
Cu 0.0826 0.3746 0.8169
Cu 0.1801 0.7188 0.6370
Cu 0.4600 0.8264 0.0868
Cu 0.5400 0.1736 0.9132
Cu 0.8199 0.2812 0.3630
Cu 0.9174 0.6254 0.1831

***

Computed X-ray diffraction stick pattern of Dy2YAl3NiGe2 for Cu Kα (weighted mean of Kα1 and Kα2), from a DFT-relaxed cell (GGA-PBE, OQMD).
Peak positions follow from Bragg's law for the DFT cell and can differ from measured ones.

Largest 10 diffraction maxima, most intense first, 10 to 80 degrees two-theta:
d/Å	I (rel.)
2.671	100
2.441	73
3.473	34
2.273	25
2.090	24
2.005	24
1.549	23
1.997	20
1.310	18
4.180	18

a = 4.1804 Å, b = 6.9452 Å, c = 6.9452 Å
α = 120.00°, β = 90.00°, γ = 90.00°
Atoms (fractional coordinates):
Dy 0.0000 0.2013 0.7987
Dy 0.0000 0.7987 0.2013
Y 0.0000 0.6043 0.6043
Al 0.5000 0.2013 0.4302
Al 0.5000 0.4302 0.2013
Al 0.5000 0.9724 0.9724
Ni 0.0000 0.2006 0.2006
Ge 0.5000 0.5345 0.8683
Ge 0.5000 0.8683 0.5345

***

Computed X-ray diffraction stick pattern of DyZrCSe for Cu Kα (weighted mean of Kα1 and Kα2), from a DFT-relaxed cell (GGA-PBE, OQMD).
Peak positions follow from Bragg's law for the DFT cell and can differ from measured ones.

Largest 10 diffraction maxima, most intense first, 10 to 80 degrees two-theta:
d/Å	I (rel.)
2.530	100
3.112	30
1.797	26
1.465	18
1.385	16
1.782	13
2.174	11
1.314	8
3.027	7
1.599	5

a = 3.5931 Å, b = 3.5931 Å, c = 13.0421 Å
α = 90.00°, β = 90.00°, γ = 120.00°
Atoms (fractional coordinates):
Dy 0.0000 0.0000 0.1545
Dy 0.0000 0.0000 0.8455
Zr 0.6667 0.3333 0.3520
Zr 0.6667 0.3333 0.6480
C 0.3333 0.6667 0.2657
C 0.3333 0.6667 0.7343
Se 0.0000 0.0000 0.5000
Se 0.6667 0.3333 0.0000

***

Computed X-ray diffraction stick pattern of Ba2ZnBiAs for Cu Kα (weighted mean of Kα1 and Kα2), from a DFT-relaxed cell (GGA-PBE, OQMD).
Peak positions follow from Bragg's law for the DFT cell and can differ from measured ones.

Largest 10 diffraction maxima, most intense first, 10 to 80 degrees two-theta:
d/Å	I (rel.)
3.367	100
3.110	46
2.814	37
2.346	37
2.782	26
2.712	24
8.793	24
2.415	21
2.250	18
4.277	17

a = 9.1003 Å, b = 9.1003 Å, c = 8.5535 Å
α = 90.00°, β = 90.00°, γ = 150.13°
Atoms (fractional coordinates):
Ba 0.0356 0.9644 0.5000
Ba 0.2237 0.7763 0.1375
Ba 0.7763 0.2237 0.6375
Ba 0.9644 0.0356 0.0000
Zn 0.4069 0.5931 0.3511
Zn 0.5931 0.4069 0.8511
Bi 0.4277 0.5723 0.7025
Bi 0.5723 0.4277 0.2025
As 0.1590 0.8410 0.7797
As 0.8410 0.1590 0.2797

***

Computed X-ray diffraction stick pattern of MgCdNO for Cu Kα (weighted mean of Kα1 and Kα2), from a DFT-relaxed cell (GGA-PBE, OQMD).
Peak positions follow from Bragg's law for the DFT cell and can differ from measured ones.

Largest 10 diffraction maxima, most intense first, 10 to 80 degrees two-theta:
d/Å	I (rel.)
2.615	100
7.526	76
3.274	72
1.832	58
3.229	49
2.229	44
3.144	44
1.415	32
2.569	31
1.881	22

a = 6.2878 Å, b = 7.5259 Å, c = 4.4577 Å
α = 90.00°, β = 90.00°, γ = 90.00°
Atoms (fractional coordinates):
Mg 0.0884 0.1102 0.0000
Mg 0.4116 0.1102 0.5000
Mg 0.5884 0.8898 0.0000
Mg 0.9116 0.8898 0.5000
Cd 0.0660 0.6358 0.0027
Cd 0.4340 0.6358 0.5027
Cd 0.5660 0.3642 0.0027
Cd 0.9340 0.3642 0.5027
N 0.0719 0.6423 0.5030
N 0.4281 0.6423 0.0030
N 0.5719 0.3577 0.5030
N 0.9281 0.3577 0.0030
O 0.0986 0.0996 0.5062
O 0.4014 0.0996 0.0062
O 0.5986 0.9004 0.5062
O 0.9014 0.9004 0.0062

***

What did the eleventh record say?
Computed X-ray diffraction stick pattern of Ba2ZnBiAs for Cu Kα (weighted mean of Kα1 and Kα2), from a DFT-relaxed cell (GGA-PBE, OQMD).
Peak positions follow from Bragg's law for the DFT cell and can differ from measured ones.

Largest 10 diffraction maxima, most intense first, 10 to 80 degrees two-theta:
d/Å	I (rel.)
3.367	100
3.110	46
2.814	37
2.346	37
2.782	26
2.712	24
8.793	24
2.415	21
2.250	18
4.277	17

a = 9.1003 Å, b = 9.1003 Å, c = 8.5535 Å
α = 90.00°, β = 90.00°, γ = 150.13°
Atoms (fractional coordinates):
Ba 0.0356 0.9644 0.5000
Ba 0.2237 0.7763 0.1375
Ba 0.7763 0.2237 0.6375
Ba 0.9644 0.0356 0.0000
Zn 0.4069 0.5931 0.3511
Zn 0.5931 0.4069 0.8511
Bi 0.4277 0.5723 0.7025
Bi 0.5723 0.4277 0.2025
As 0.1590 0.8410 0.7797
As 0.8410 0.1590 0.2797

***

What did the third record say?
Computed X-ray diffraction stick pattern of Hf2Mg2Pd3 for Cu Kα (weighted mean of Kα1 and Kα2), from a DFT-relaxed cell (GGA-PBE, OQMD).
Peak positions follow from Bragg's law for the DFT cell and can differ from measured ones.

Largest 10 diffraction maxima, most intense first, 10 to 80 degrees two-theta:
d/Å	I (rel.)
2.274	100
2.244	95
3.705	70
1.307	33
1.597	32
1.929	23
3.642	22
1.313	17
1.290	15
1.938	12

a = 7.7423 Å, b = 7.7423 Å, c = 7.7423 Å
α = 34.16°, β = 34.16°, γ = 34.16°
Atoms (fractional coordinates):
Hf 0.0000 0.0000 0.0000
Hf 0.4935 0.4935 0.4935
Mg 0.2419 0.2419 0.2419
Mg 0.7488 0.7488 0.7488
Pd 0.3694 0.3694 0.3694
Pd 0.6206 0.6206 0.6206
Pd 0.8732 0.8732 0.8732